1.
Diffraction record for TbVO2. The PXRD pattern is simulated, not measured: it uses DFT lattice parameters and positions (PBE+U) and Cu Kα, 1.54184 Å.
Lines closer than 0.1° are merged.

The 10 most intense peaks (2θ from 15° to 90°), by intensity:
2theta	d_spacing	intensity
31.69	2.823	100
30.56	2.925	79
15.69	5.647	55
55.04	1.669	53
43.76	2.068	27
57.15	1.612	25
26.71	3.337	16
89.00	1.100	16
66.20	1.412	15
41.03	2.200	13

Cell and atoms:
a b c (Å): 7.0105 7.0105 7.0105
angles (deg): 107.67 107.67 113.13
Fractional coordinates of all 16 atoms:
Tb 0.0000 0.0000 0.0000
Tb 0.0000 0.0000 0.5000
Tb 0.0000 0.5000 0.0000
Tb 0.5000 0.0000 0.5000
V 0.0000 0.5000 0.5000
V 0.5000 0.0000 0.0000
V 0.5000 0.5000 0.0000
V 0.5000 0.5000 0.5000
O 0.1315 0.7230 0.4085
O 0.1855 0.2770 0.9085
O 0.2770 0.1855 0.4085
O 0.2770 0.8685 0.0915
O 0.7230 0.1315 0.9085
O 0.7230 0.8145 0.5915
O 0.8145 0.7230 0.0915
O 0.8685 0.2770 0.5915

---

2.
Diffraction record for Li3FeNi3O8. The PXRD pattern is simulated, not measured: it uses DFT lattice parameters and positions (PBE+U) and Cu Kα, 1.54184 Å.
Lines closer than 0.1° are merged.

The 10 most intense peaks (2θ from 15° to 90°), by intensity:
2theta	d_spacing	intensity
18.38	4.827	100
43.77	2.068	64
36.19	2.482	39
64.00	1.455	17
63.26	1.470	17
57.66	1.599	15
67.21	1.393	14
37.81	2.380	13
47.85	1.901	13
80.77	1.190	8

Cell and atoms:
a b c (Å): 5.8807 5.8807 5.8807
angles (deg): 59.30 59.30 59.30
Fractional coordinates of all 15 atoms:
Li 0.0000 0.5000 0.5000
Li 0.5000 0.0000 0.5000
Li 0.5000 0.5000 0.0000
Fe 0.5000 0.5000 0.5000
Ni 0.0000 0.0000 0.5000
Ni 0.0000 0.5000 0.0000
Ni 0.5000 0.0000 0.0000
O 0.2384 0.2384 0.2384
O 0.2633 0.7278 0.7278
O 0.2722 0.2722 0.7367
O 0.2722 0.7367 0.2722
O 0.7278 0.2633 0.7278
O 0.7278 0.7278 0.2633
O 0.7367 0.2722 0.2722
O 0.7616 0.7616 0.7616

---

3.
Diffraction record for Cs2Tm2MgW4O16. The PXRD pattern is simulated, not measured: it uses DFT lattice parameters and positions (PBE+U) and Cu Kα, 1.54184 Å.
Lines closer than 0.1° are merged.

The 10 most intense peaks (2θ from 15° to 90°), by intensity:
2theta	d_spacing	intensity
29.06	3.073	100
28.55	3.126	93
27.15	3.284	89
25.90	3.440	87
30.49	2.932	61
33.14	2.703	57
32.54	2.752	49
32.31	2.771	35
25.99	3.428	30
54.46	1.685	28

Cell and atoms:
a b c (Å): 7.5270 7.5672 7.9292
angles (deg): 90.63 116.18 116.16
Fractional coordinates of all 25 atoms:
Cs 0.0000 0.0000 0.0000
Cs 0.4695 0.4329 0.5651
Tm 0.4680 0.9180 0.0061
Tm 0.9951 0.4490 0.6067
Mg 0.6521 0.2766 0.8755
W 0.0778 0.5198 0.1429
W 0.4483 0.9225 0.4912
W 0.5577 0.5213 0.1080
W 0.9486 0.9015 0.5087
O 0.0483 0.1757 0.5864
O 0.1022 0.8186 0.7261
O 0.1804 0.9702 0.4366
O 0.2164 0.6269 0.4440
O 0.2943 0.8095 0.1810
O 0.3267 0.4535 0.1800
O 0.3868 0.5969 0.8868
O 0.4560 0.2449 0.0061
O 0.5420 0.9936 0.7703
O 0.6361 0.1752 0.4747
O 0.6930 0.8423 0.5517
O 0.7166 0.8358 0.2198
O 0.7807 0.5734 0.3838
O 0.8017 0.5760 0.0461
O 0.8728 0.2628 0.1453
O 0.9407 0.4345 0.8545

---

4.
Diffraction record for V3CoO8. The PXRD pattern is simulated, not measured: it uses DFT lattice parameters and positions (PBE+U) and Cu Kα, 1.54184 Å.
Lines closer than 0.1° are merged.

The 10 most intense peaks (2θ from 15° to 90°), by intensity:
2theta	d_spacing	intensity
23.44	3.795	100
32.67	2.741	71
28.12	3.174	51
32.30	2.771	50
61.17	1.515	46
30.15	2.964	46
48.27	1.886	37
18.31	4.844	37
38.14	2.360	35
17.80	4.984	27

Cell and atoms:
a b c (Å): 9.8023 9.8023 9.8023
angles (deg): 118.87 84.14 128.26
Fractional coordinates of all 48 atoms:
V 0.0222 0.8315 0.8532
V 0.0399 0.8536 0.5089
V 0.2012 0.0564 0.2576
V 0.2988 0.5564 0.8552
V 0.3447 0.5309 0.4911
V 0.4783 0.3315 0.8093
V 0.5222 0.6690 0.1907
V 0.5399 0.0309 0.1862
V 0.7012 0.4436 0.1448
V 0.7988 0.9436 0.7424
V 0.8447 0.3536 0.8138
V 0.9783 0.1690 0.1468
Co 0.1526 0.6387 0.1716
Co 0.4672 0.9810 0.8284
Co 0.6526 0.4810 0.5139
Co 0.9672 0.1387 0.4861
O 0.0692 0.9828 0.3814
O 0.0748 0.0123 0.0961
O 0.0800 0.3797 0.1432
O 0.0903 0.2840 0.3580
O 0.1013 0.4828 0.9135
O 0.1331 0.7563 0.3967
O 0.2365 0.9369 0.8568
O 0.2413 0.4217 0.6461
O 0.2623 0.1117 0.6919
O 0.2756 0.9217 0.1804
O 0.3597 0.7364 0.6033
O 0.3905 0.3145 0.3793
O 0.4162 0.5123 0.9376
O 0.4198 0.5704 0.3081
O 0.4261 0.7840 0.1937
O 0.4352 0.8145 0.9239
O 0.5692 0.1878 0.0865
O 0.5748 0.4787 0.0624
O 0.5800 0.4369 0.7003
O 0.5903 0.2324 0.8063
O 0.6013 0.6878 0.6186
O 0.6331 0.2364 0.3767
O 0.7365 0.8797 0.2997
O 0.7413 0.0952 0.8196
O 0.7623 0.0704 0.1506
O 0.7756 0.5952 0.3539
O 0.8597 0.2563 0.6233
O 0.8905 0.5112 0.0761
O 0.9162 0.9787 0.9039
O 0.9198 0.6117 0.8494
O 0.9261 0.7324 0.6420
O 0.9352 0.0112 0.6207

---

5.
Diffraction record for V3CoP6O24. The PXRD pattern is simulated, not measured: it uses DFT lattice parameters and positions (PBE+U) and Cu Kα, 1.54184 Å.
Lines closer than 0.1° are merged.

The 10 most intense peaks (2θ from 15° to 90°), by intensity:
2theta	d_spacing	intensity
24.42	3.645	100
20.47	4.339	59
29.48	3.030	49
20.99	4.231	28
32.71	2.737	28
32.59	2.747	16
47.07	1.931	12
36.79	2.443	12
57.64	1.599	11
53.92	1.700	11

Cell and atoms:
a b c (Å): 8.6844 8.6844 8.6844
angles (deg): 58.32 58.32 58.32
Fractional coordinates of all 34 atoms:
V 0.0000 0.0000 0.0000
V 0.2184 0.2184 0.2184
V 0.7194 0.7194 0.7194
Co 0.5016 0.5016 0.5016
P 0.1151 0.8215 0.3920
P 0.3284 0.6077 0.8860
P 0.3920 0.1151 0.8215
P 0.6077 0.8860 0.3284
P 0.8215 0.3920 0.1151
P 0.8860 0.3284 0.6077
O 0.0019 0.3641 0.1347
O 0.0736 0.2978 0.4314
O 0.0736 0.8591 0.2200
O 0.1347 0.0019 0.3642
O 0.1427 0.7826 0.9268
O 0.2200 0.0736 0.8591
O 0.2858 0.6390 0.4155
O 0.2978 0.4314 0.0736
O 0.3429 0.5874 0.7164
O 0.3642 0.1347 0.0019
O 0.4155 0.2858 0.6390
O 0.4314 0.0736 0.2978
O 0.5017 0.6344 0.8626
O 0.5728 0.9294 0.8008
O 0.5874 0.7164 0.3429
O 0.6344 0.8626 0.5017
O 0.6390 0.4155 0.2858
O 0.7164 0.3429 0.5874
O 0.7826 0.9268 0.1427
O 0.8008 0.5728 0.9294
O 0.8591 0.2200 0.0736
O 0.8626 0.5017 0.6344
O 0.9268 0.1427 0.7826
O 0.9294 0.8008 0.5728

---

6.
Diffraction record for Li2MnF4. The PXRD pattern is simulated, not measured: it uses DFT lattice parameters and positions (PBE+U) and Cu Kα, 1.54184 Å.
Lines closer than 0.1° are merged.

The 10 most intense peaks (2θ from 15° to 90°), by intensity:
2theta	d_spacing	intensity
20.78	4.274	100
29.98	2.980	85
51.83	1.764	50
32.66	2.742	46
16.76	5.290	36
37.18	2.418	30
19.43	4.568	27
39.03	2.308	25
26.12	3.411	22
24.54	3.627	21

Cell and atoms:
a b c (Å): 8.9914 8.9914 8.9914
angles (deg): 107.56 107.56 107.56
Fractional coordinates of all 42 atoms:
Li 0.1358 0.2749 0.8549
Li 0.1451 0.8642 0.7251
Li 0.2070 0.4434 0.5818
Li 0.2749 0.8549 0.1358
Li 0.4182 0.7930 0.5566
Li 0.4434 0.5818 0.2070
Li 0.5566 0.4182 0.7930
Li 0.5818 0.2070 0.4434
Li 0.7251 0.1451 0.8642
Li 0.7930 0.5566 0.4182
Li 0.8549 0.1358 0.2749
Li 0.8642 0.7251 0.1451
Mn 0.0531 0.4904 0.2062
Mn 0.2062 0.0531 0.4904
Mn 0.4904 0.2062 0.0531
Mn 0.5096 0.7938 0.9469
Mn 0.7938 0.9469 0.5096
Mn 0.9469 0.5096 0.7938
F 0.0372 0.3455 0.3458
F 0.0387 0.6831 0.0551
F 0.0551 0.0387 0.6831
F 0.1109 0.4154 0.7403
F 0.2596 0.8891 0.5846
F 0.3102 0.6214 0.3276
F 0.3169 0.9449 0.9613
F 0.3276 0.3102 0.6214
F 0.3458 0.0372 0.3455
F 0.3455 0.3458 0.0372
F 0.3786 0.6724 0.6898
F 0.4154 0.7404 0.1109
F 0.5846 0.2596 0.8891
F 0.6214 0.3276 0.3102
F 0.6545 0.6542 0.9628
F 0.6542 0.9628 0.6545
F 0.6724 0.6898 0.3786
F 0.6831 0.0551 0.0387
F 0.6898 0.3786 0.6724
F 0.7403 0.1109 0.4154
F 0.8891 0.5846 0.2596
F 0.9449 0.9613 0.3169
F 0.9613 0.3169 0.9449
F 0.9628 0.6545 0.6542